Sr2Np2O7: simulated PXRD pattern (a wavelength of 1.5418 Å), based on a GGA-PBE-relaxed structure.
Neutral-atom scattering factors, no anomalous dispersion.

Principal peaks in the range 10 to 90 degrees two-theta, most intense first:
2θ = 27.5°, rel. 100, hkl 2 2 2; 2θ = 54.1°, rel. 47, hkl 6 2 2; 2θ = 45.6°, rel. 46, hkl 4 4 0; 2θ = 31.8°, rel. 38, hkl 4 0 0; 2θ = 13.6°, rel. 29, hkl 1 1 1; 2θ = 26.3°, rel. 21, hkl 3 1 1; 2θ = 73.4°, rel. 19, hkl 6 6 2; 2θ = 75.6°, rel. 17, hkl 8 4 0; 2θ = 84.4°, rel. 14, hkl 8 4 4; 2θ = 56.7°, rel. 12, hkl 4 4 4

Atomic structure:
Cell lengths 11.247, 11.247, 11.247 Å; angles 90.00, 90.00, 90.00 degrees
Space group Fd-3m (No. 227, origin choice 2)
Unique sites:
Sr  0.000  0.000  0.000 x16
Np  0.000  0.000  0.500 x16
O  0.071  0.375  0.875 x48
O  0.125  0.125  0.125 x8

Cs3LiHg2F8: simulated PXRD pattern (a wavelength of 1.5418 Å), based on a GGA-PBE-relaxed structure.
Neutral-atom scattering factors, no anomalous dispersion.

Principal peaks in the range 10 to 90 degrees two-theta, most intense first:
2θ = 28.3°, rel. 100, hkl 1 1 0; 2θ = 26.4°, rel. 77, hkl 0 1 2; 2θ = 39.0°, rel. 43, hkl 2 0 2; 2θ = 35.3°, rel. 41, hkl 1 0 3; 2θ = 19.2°, rel. 40, hkl 0 1 1; 2θ = 48.9°, rel. 29, hkl 1 2 2; 2θ = 54.7°, rel. 21, hkl 2 1 3; 2θ = 50.0°, rel. 21, hkl 3 0 0; 2θ = 16.2°, rel. 19, hkl 1 0 0; 2θ = 58.4°, rel. 18, hkl 2 2 0

Atomic structure:
Cell lengths 6.3170, 6.3170, 8.5962 Å; angles 90.00, 90.00, 120.00 degrees
Space group P-3m1 (No. 164)
Unique sites:
Cs  0.0000  0.0000  0.0000 x1
Cs  0.3333  0.6667  0.6292 x2
Li  0.0000  0.0000  0.5000 x1
Hg  0.3333  0.6667  0.2090 x2
F  0.1567  0.3134  0.3416 x6
F  0.3333  0.6667  0.9610 x2

HfCuO4F6: simulated PXRD pattern (a wavelength of 1.5418 Å), based on a GGA-PBE-relaxed structure.
Neutral-atom scattering factors, no anomalous dispersion.

Principal peaks in the range 10 to 90 degrees two-theta, most intense first:
2θ = 22.3°, rel. 100, hkl 1 1 -1; 2θ = 25.4°, rel. 70, hkl 1 1 1; 2θ = 22.8°, rel. 59, hkl 0 0 2; 2θ = 21.2°, rel. 54, hkl 0 2 0; 2θ = 15.5°, rel. 39, hkl 0 1 1; 2θ = 37.9°, rel. 32, hkl 1 3 -1; 2θ = 43.5°, rel. 31, hkl 1 1 3; 2θ = 31.4°, rel. 24, hkl 0 2 2; 2θ = 45.5°, rel. 24, hkl 2 2 -2; 2θ = 34.2°, rel. 16, hkl 1 2 -2

Atomic structure:
Cell lengths 4.995, 8.371, 7.923 Å; angles 90.00, 100.16, 90.00 degrees
Space group P2_1/c (No. 14)
Unique sites:
Hf  0.000  0.000  0.000 x2
Cu  0.500  0.000  0.500 x2
O  0.183  0.057  0.572 x4
O  0.449  0.702  0.077 x4
F  0.149  0.209  0.924 x4
F  0.252  0.632  0.382 x4
F  0.267  0.506  0.718 x4

IrAu5: simulated PXRD pattern (a wavelength of 1.5418 Å), based on a GGA-PBE-relaxed structure.
Neutral-atom scattering factors, no anomalous dispersion.

Principal peaks in the range 10 to 90 degrees two-theta, most intense first:
2θ = 37.9°, rel. 100, hkl 1 3 1; 2θ = 42.9°, rel. 36, hkl 2 0 0; 2θ = 75.2°, rel. 28, hkl 3 3 1; 2θ = 65.0°, rel. 21, hkl 2 6 0; 2θ = 46.4°, rel. 14, hkl 0 6 0; 2θ = 62.2°, rel. 12, hkl 2 0 2; 2θ = 80.3°, rel. 12, hkl 1 9 1; 2θ = 81.1°, rel. 12, hkl 2 6 2

Atomic structure:
Cell lengths 4.221, 11.746, 4.216 Å; angles 90.00, 90.00, 90.00 degrees
Space group Cmmm (No. 65)
Unique sites:
Ir  0.000  0.000  0.000 x2
Au  0.000  0.163  0.500 x4
Au  0.000  0.335  0.000 x4
Au  0.000  0.500  0.500 x2

TbMg6Zn6: simulated PXRD pattern (a wavelength of 1.5418 Å), based on a GGA-PBE-relaxed structure.
Neutral-atom scattering factors, no anomalous dispersion.

Principal peaks in the range 10 to 90 degrees two-theta, most intense first:
2θ = 38.0°, rel. 100, hkl 2 2 0; 2θ = 37.9°, rel. 69, hkl 0 0 4; 2θ = 38.2°, rel. 52, hkl 1 3 2; 2θ = 26.6°, rel. 52, hkl 1 1 2; 2θ = 13.3°, rel. 47, hkl 0 1 1; 2θ = 26.7°, rel. 42, hkl 0 2 2; 2θ = 54.8°, rel. 36, hkl 2 2 4; 2θ = 38.4°, rel. 35, hkl 0 4 0; 2θ = 42.7°, rel. 32, hkl 2 2 2; 2θ = 18.7°, rel. 31, hkl 0 0 2

Atomic structure:
Cell lengths 5.475, 9.379, 9.512 Å; angles 90.00, 90.00, 90.00 degrees
Space group Immm (No. 71)
Unique sites:
Tb  0.000  0.000  0.000 x2
Mg  0.000  0.000  0.346 x4
Mg  0.000  0.304  0.500 x4
Mg  0.000  0.347  0.000 x4
Zn  0.000  0.500  0.276 x4
Zn  0.250  0.250  0.250 x8

TbPmNdY: simulated PXRD pattern (a wavelength of 1.5418 Å), based on a GGA-PBE-relaxed structure.
Neutral-atom scattering factors, no anomalous dispersion.

Principal peaks in the range 10 to 90 degrees two-theta, most intense first:
2θ = 30.3°, rel. 100, hkl 1 1 2; 2θ = 35.0°, rel. 34, hkl 2 0 0; 2θ = 59.9°, rel. 29, hkl 3 1 2; 2θ = 50.5°, rel. 24, hkl 2 0 4; 2θ = 35.2°, rel. 17, hkl 0 0 4; 2θ = 60.2°, rel. 14, hkl 1 1 6; 2θ = 62.9°, rel. 12, hkl 2 2 4; 2θ = 50.4°, rel. 12, hkl 2 2 0; 2θ = 82.2°, rel. 12, hkl 3 1 6; 2θ = 82.0°, rel. 6, hkl 3 3 2

Atomic structure:
Cell lengths 5.126, 5.126, 10.193 Å; angles 90.00, 90.00, 90.00 degrees
Space group I-4m2 (No. 119)
Unique sites:
Tb  0.000  0.000  0.000 x2
Pm  0.000  0.500  0.750 x2
Nd  0.000  0.000  0.500 x2
Y  0.000  0.500  0.250 x2

Pa6GeN12: simulated PXRD pattern (a wavelength of 1.5418 Å), based on a GGA-PBE-relaxed structure.
Neutral-atom scattering factors, no anomalous dispersion.

Principal peaks in the range 10 to 90 degrees two-theta, most intense first:
2θ = 28.9°, rel. 100, hkl 3 -1 1; 2θ = 33.5°, rel. 55, hkl 1 2 2; 2θ = 28.6°, rel. 34, hkl 0 0 3; 2θ = 47.8°, rel. 29, hkl 3 -1 4; 2θ = 57.1°, rel. 28, hkl 4 1 3; 2θ = 48.2°, rel. 27, hkl 4 1 0; 2θ = 56.7°, rel. 16, hkl 1 2 5; 2θ = 57.2°, rel. 13, hkl 2 4 1; 2θ = 17.8°, rel. 12, hkl 1 1 0; 2θ = 60.0°, rel. 10, hkl 6 -2 2

Atomic structure:
Cell lengths 9.9851, 9.9851, 9.3493 Å; angles 90.00, 90.00, 120.00 degrees
Space group R-3 (No. 148, hexagonal axes)
Unique sites:
Pa  0.0507  0.7945  0.1586 x18
Ge  0.0000  0.0000  0.5000 x3
N  0.0337  0.8062  0.9028 x18
N  0.0432  0.8403  0.3964 x18

La10Pr3In3: simulated PXRD pattern (a wavelength of 1.5418 Å), based on a GGA-PBE-relaxed structure.
Neutral-atom scattering factors, no anomalous dispersion.

Principal peaks in the range 10 to 90 degrees two-theta, most intense first:
2θ = 30.8°, rel. 100, hkl 2 1 1; 2θ = 32.8°, rel. 54, hkl 1 1 2; 2θ = 27.5°, rel. 34, hkl 2 1 0; 2θ = 31.3°, rel. 26, hkl 3 0 0; 2θ = 50.3°, rel. 26, hkl 2 1 3; 2θ = 60.9°, rel. 20, hkl 5 0 2; 2θ = 27.2°, rel. 15, hkl 0 0 2; 2θ = 50.9°, rel. 12, hkl 4 0 2; 2θ = 57.5°, rel. 12, hkl 3 3 1; 2θ = 29.2°, rel. 12, hkl 1 0 2

Atomic structure:
Cell lengths 9.9097, 9.9097, 6.5577 Å; angles 90.00, 90.00, 120.00 degrees
Space group P-62m (No. 189)
Unique sites:
La  0.0000  0.2351  0.0000 x3
La  0.0000  0.7719  0.5000 x3
La  0.3333  0.6667  0.2292 x4
Pr  0.0000  0.4120  0.5000 x3
In  0.0000  0.5960  0.0000 x3

H3Ir: simulated PXRD pattern (a wavelength of 1.5418 Å), based on a GGA-PBE-relaxed structure.
Neutral-atom scattering factors, no anomalous dispersion.

Principal peaks in the range 10 to 90 degrees two-theta, most intense first:
2θ = 40.3°, rel. 100, hkl 1 0 1; 2θ = 23.9°, rel. 98, hkl 0 0 1; 2θ = 32.0°, rel. 93, hkl 1 0 0; 2θ = 52.3°, rel. 48, hkl 1 1 1; 2θ = 45.8°, rel. 35, hkl 1 1 0; 2θ = 59.7°, rel. 32, hkl 1 0 2; 2θ = 81.0°, rel. 27, hkl 2 1 1; 2θ = 69.3°, rel. 21, hkl 1 1 2; 2θ = 72.1°, rel. 19, hkl 2 0 1; 2θ = 76.0°, rel. 16, hkl 2 1 0

Atomic structure:
Cell lengths 2.801, 2.801, 3.718 Å; angles 90.00, 90.00, 90.00 degrees
Space group P4mm (No. 99)
Unique sites:
H  0.000  0.000  0.000 x1
H  0.000  0.500  0.421 x2
Ir  0.500  0.500  0.137 x1

NaIn2WN4: simulated PXRD pattern (a wavelength of 1.5418 Å), based on a GGA-PBE-relaxed structure.
Neutral-atom scattering factors, no anomalous dispersion.

Principal peaks in the range 10 to 90 degrees two-theta, most intense first:
2θ = 30.8°, rel. 100, hkl 1 1 2; 2θ = 19.5°, rel. 44, hkl 1 0 1; 2θ = 59.4°, rel. 30, hkl 3 1 2; 2θ = 34.4°, rel. 29, hkl 2 0 0; 2θ = 52.3°, rel. 26, hkl 2 0 4; 2θ = 49.5°, rel. 15, hkl 2 2 0; 2θ = 64.4°, rel. 12, hkl 1 1 6; 2θ = 39.9°, rel. 11, hkl 2 1 1; 2θ = 85.4°, rel. 11, hkl 3 1 6; 2θ = 38.2°, rel. 11, hkl 0 0 4

Atomic structure:
Cell lengths 5.208, 5.208, 9.435 Å; angles 90.00, 90.00, 90.00 degrees
Space group I-42m (No. 121)
Unique sites:
Na  0.000  0.000  0.000 x2
In  0.000  0.500  0.250 x4
W  0.000  0.000  0.500 x2
N  0.209  0.209  0.381 x8

Ca3CdCu8: simulated PXRD pattern (a wavelength of 1.5418 Å), based on a GGA-PBE-relaxed structure.
Neutral-atom scattering factors, no anomalous dispersion.

Principal peaks in the range 10 to 90 degrees two-theta, most intense first:
2θ = 40.5°, rel. 100, hkl 1 1 6; 2θ = 42.4°, rel. 45, hkl 0 0 12; 2θ = 65.7°, rel. 28, hkl 0 3 6; 2θ = 72.3°, rel. 24, hkl 2 2 0; 2θ = 34.3°, rel. 23, hkl 1 1 0; 2θ = 87.6°, rel. 14, hkl 2 2 12; 2θ = 20.8°, rel. 13, hkl 0 1 2; 2θ = 10.4°, rel. 8, hkl 0 0 3; 2θ = 61.5°, rel. 7, hkl 3 0 0; 2θ = 86.3°, rel. 7, hkl 1 0 22

Atomic structure:
Cell lengths 5.2233, 5.2233, 25.6148 Å; angles 90.00, 90.00, 120.00 degrees
Space group R3m (No. 160, hexagonal axes)
Unique sites:
Ca  0.0000  0.0000  0.0000 x3
Ca  0.0000  0.0000  0.1292 x3
Ca  0.0000  0.0000  0.6171 x3
Cd  0.0000  0.0000  0.4961 x3
Cu  0.0000  0.0000  0.3107 x3
Cu  0.0000  0.0000  0.8114 x3
Cu  0.0003  0.5002  0.0620 x9
Cu  0.0043  0.5022  0.5602 x9

Pm2HSe3: simulated PXRD pattern (a wavelength of 1.5418 Å), based on a GGA-PBE-relaxed structure.
Neutral-atom scattering factors, no anomalous dispersion.

Principal peaks in the range 10 to 90 degrees two-theta, most intense first:
2θ = 32.8°, rel. 100, hkl 1 1 3; 2θ = 33.7°, rel. 74, hkl 3 1 1; 2θ = 45.1°, rel. 69, hkl 0 2 0; 2θ = 42.3°, rel. 64, hkl 4 1 2; 2θ = 33.1°, rel. 57, hkl 4 0 1; 2θ = 31.7°, rel. 47, hkl 0 1 3; 2θ = 28.0°, rel. 46, hkl 1 1 2; 2θ = 21.9°, rel. 46, hkl 2 0 2; 2θ = 36.3°, rel. 43, hkl 3 1 2; 2θ = 31.3°, rel. 41, hkl 2 1 2

Atomic structure:
Cell lengths 11.127, 4.021, 11.864 Å; angles 90.00, 90.00, 90.00 degrees
Space group Pnma (No. 62)
Unique sites:
Pm  0.045  0.250  0.174 x4
Pm  0.195  0.250  0.512 x4
H  0.134  0.750  0.121 x4
Se  0.059  0.750  0.372 x4
Se  0.124  0.250  0.933 x4
Se  0.188  0.750  0.696 x4